This entry pairs a crystal structure of GdYMg3Ni2 with its simulated powder X-ray diffraction pattern. Radiation: Cu Kα X-rays. Structure: a PBE-relaxed structure.
Lines closer than 0.1° are merged.

The 10 most intense peaks (2θ from 15° to 90°), sorted by position:
two_theta, d [Å], I_rel
25.6, 3.478, 23
25.8, 3.458, 25
33.6, 2.668, 65
35.7, 2.517, 64
35.8, 2.509, 100
37.7, 2.387, 30
39.9, 2.261, 68
45.2, 2.004, 25
45.5, 1.992, 29
59.1, 1.562, 29

Structure:
a b c (Å): 3.6469 10.6221 10.6221
angles (deg): 21.62 90.00 90.00
Fractional positions:
Gd 0.0000 0.0000 0.0000
Y 0.0000 0.6492 0.6492
Mg 0.0000 0.8240 0.8240
Mg 0.5000 0.2445 0.2445
Mg 0.5000 0.4029 0.4029
Ni 0.5000 0.1106 0.1106
Ni 0.5000 0.5371 0.5371

=====

This entry pairs a crystal structure of TbHoBr2NCl with its simulated powder X-ray diffraction pattern. Radiation: Cu Kα X-rays. Structure: a PBE-relaxed structure.
Lines closer than 0.1° are merged.

The 10 most intense peaks (2θ from 15° to 90°), sorted by position:
two_theta, d [Å], I_rel
27.0, 3.297, 77
28.5, 3.129, 42
32.4, 2.760, 31
33.0, 2.718, 100
34.9, 2.569, 39
36.9, 2.437, 33
43.8, 2.066, 20
44.5, 2.038, 27
47.1, 1.929, 24
58.7, 1.572, 19

Structure:
a b c (Å): 8.8531 8.8531 11.1034
angles (deg): 122.62 122.62 25.17
Fractional positions:
Tb 0.1378 0.1378 0.2920
Tb 0.8622 0.8622 0.7080
Ho 0.4214 0.4214 0.0421
Ho 0.5786 0.5786 0.9579
Br 0.0433 0.0433 0.7393
Br 0.2244 0.2244 0.1222
Br 0.7756 0.7756 0.8778
Br 0.9567 0.9567 0.2607
N 0.4249 0.4249 0.8444
N 0.5751 0.5751 0.1556
Cl 0.3297 0.3297 0.4915
Cl 0.6703 0.6703 0.5085